Record 1
Calculated powder X-ray diffraction pattern
Compound: MgO
Radiation: Cu Kα (λ = 1.5418 Å)
Structure: a DFT-relaxed cell (PBE, the Materials Project)
Neutral-atom scattering factors, no anomalous dispersion.

Main lines, sorted by position (2θ = 15–90°):
hkl	2θ (°)	I/Imax
1 0 5	37.78	15
1 0 7	40.69	41
1 0 8	42.42	100
1 0 9	44.32	45
1 0 15	58.47	11
1 0 16	61.22	28
1 1 0	61.89	55
1 0 17	64.06	14
0 0 24	76.71	14
2 0 8	77.91	12

Structural model:
a = 2.9986 Å, b = 2.9986 Å, c = 29.8187 Å
α = 90.00°, β = 90.00°, γ = 120.00°
Space group P6_3/mmc (No. 194)
Unique sites:
Mg1 0.0000 0.0000 0.0000 (multiplicity 2)
Mg2 0.0000 0.0000 0.2500 (multiplicity 2)
Mg3 0.3333 0.6667 0.0825 (multiplicity 4)
Mg4 0.3333 0.6667 0.6650 (multiplicity 4)
O1 0.0000 0.0000 0.1238 (multiplicity 4)
O2 0.3333 0.6667 0.2061 (multiplicity 4)
O3 0.3333 0.6667 0.5413 (multiplicity 4)


Record 2
Calculated powder X-ray diffraction pattern
Compound: Li8IrO6
Radiation: Cu Kα (λ = 1.5418 Å)
Structure: a DFT-relaxed cell (PBE, the Materials Project)
Neutral-atom scattering factors, no anomalous dispersion.

Main lines, sorted by position (2θ = 15–90°):
hkl	2θ (°)	I/Imax
0 0 3	17.58	42
1 0 1	19.63	100
0 1 2	22.14	77
1 0 4	30.23	31
0 1 5	35.19	22
1 1 3	37.40	51
0 2 1	38.46	16
1 1 6	49.13	32
2 1 1	51.38	15
1 2 2	52.51	15

Structural model:
a = 5.4712 Å, b = 5.4712 Å, c = 15.1323 Å
α = 90.00°, β = 90.00°, γ = 120.00°
Space group R-3 (No. 148, hexagonal axes)
Unique sites:
Li1 0.0000 0.0000 0.1588 (multiplicity 6)
Li2 0.0163 0.6486 0.3830 (multiplicity 18)
Ir1 0.0000 0.0000 0.5000 (multiplicity 3)
O1 0.0108 0.6951 0.5796 (multiplicity 18)


Record 3
Calculated powder X-ray diffraction pattern
Compound: U2Cu3NiGe4
Radiation: Cu Kα (λ = 1.5418 Å)
Structure: a DFT-relaxed cell (PBE, the Materials Project)
Neutral-atom scattering factors, no anomalous dispersion.

Main lines, sorted by position (2θ = 15–90°):
hkl	2θ (°)	I/Imax
1 0 1	23.60	28
1 1 0	31.20	30
1 0 3	34.29	86
1 1 2	35.88	100
2 0 0	44.71	52
1 0 5	49.77	34
2 1 3	57.53	40
2 2 0	65.08	17
2 1 5	69.12	26
3 1 2	76.61	22

Structural model:
a = 4.0536 Å, b = 4.0536 Å, c = 10.2677 Å
α = 90.00°, β = 90.00°, γ = 90.00°
Space group P-4m2 (No. 115)
Unique sites:
U1 0.0000 0.5000 0.2477 (multiplicity 2)
Cu1 0.0000 0.0000 0.0000 (multiplicity 1)
Cu2 0.0000 0.0000 0.5000 (multiplicity 1)
Cu3 0.5000 0.5000 0.5000 (multiplicity 1)
Ni1 0.5000 0.5000 0.0000 (multiplicity 1)
Ge1 0.0000 0.5000 0.6326 (multiplicity 2)
Ge2 0.0000 0.5000 0.8745 (multiplicity 2)


Record 4
Calculated powder X-ray diffraction pattern
Compound: LaCdAg2
Radiation: Cu Kα (λ = 1.5418 Å)
Structure: a DFT-relaxed cell (PBE, the Materials Project)
Neutral-atom scattering factors, no anomalous dispersion.

Main lines, sorted by position (2θ = 15–90°):
hkl	2θ (°)	I/Imax
2 2 0	34.92	100
4 0 0	50.21	17
4 2 2	62.62	35
4 4 0	73.75	11
6 2 0	84.27	15

Structural model:
a = 7.2678 Å, b = 7.2678 Å, c = 7.2678 Å
α = 90.00°, β = 90.00°, γ = 90.00°
Space group Fm-3m (No. 225)
Unique sites:
La1 0.0000 0.0000 0.0000 (multiplicity 4)
Cd1 0.0000 0.0000 0.5000 (multiplicity 4)
Ag1 0.2500 0.2500 0.2500 (multiplicity 8)


Record 5
Calculated powder X-ray diffraction pattern
Compound: Ti2CrTe4
Radiation: Cu Kα (λ = 1.5418 Å)
Structure: a DFT-relaxed cell (PBE, the Materials Project)
Neutral-atom scattering factors, no anomalous dispersion.

Main lines, sorted by position (2θ = 15–90°):
hkl	2θ (°)	I/Imax
0 0 2	28.86	57
4 0 -2	29.23	49
1 1 1	29.57	100
3 1 -1	29.76	56
2 0 2	38.35	17
3 1 1	38.97	43
5 1 -1	39.28	32
3 1 -3	44.71	53
0 2 0	46.00	26
0 2 2	55.21	19

Structural model:
a = 14.1654 Å, b = 3.9464 Å, c = 7.0876 Å
α = 90.00°, β = 119.17°, γ = 90.00°
Space group Cm (No. 8)
Unique sites:
Ti1 0.0000 0.0000 0.0000 (multiplicity 2)
Ti2 0.2420 0.0000 0.2735 (multiplicity 2)
Cr1 0.4988 0.0000 0.5601 (multiplicity 2)
Te1 0.1110 0.5000 0.3155 (multiplicity 2)
Te2 0.1328 0.0000 0.8224 (multiplicity 2)
Te3 0.3613 0.0000 0.7259 (multiplicity 2)
Te4 0.3762 0.5000 0.2399 (multiplicity 2)


Record 6
Calculated powder X-ray diffraction pattern
Compound: Sc3FeC4
Radiation: Cu Kα (λ = 1.5418 Å)
Structure: a DFT-relaxed cell (PBE, the Materials Project)
Neutral-atom scattering factors, no anomalous dispersion.

Main lines, sorted by position (2θ = 15–90°):
hkl	2θ (°)	I/Imax
1 1 2	36.70	100
0 2 0	41.46	19
0 1 5	42.71	14
0 0 6	44.90	13
1 1 4	45.21	28
2 0 0	54.04	14
1 2 3	55.02	12
0 2 6	62.76	10
1 1 8	71.60	13
1 3 2	72.50	11

Structural model:
a = 3.3936 Å, b = 4.3562 Å, c = 12.1136 Å
α = 90.00°, β = 90.00°, γ = 90.00°
Space group Immm (No. 71)
Unique sites:
Sc1 0.0000 0.0000 0.0000 (multiplicity 2)
Sc2 0.0000 0.5000 0.1885 (multiplicity 4)
Fe1 0.0000 0.0000 0.5000 (multiplicity 2)
C1 0.0000 0.3342 0.3761 (multiplicity 8)


Record 7
Calculated powder X-ray diffraction pattern
Compound: Ga2PbO4
Radiation: Cu Kα (λ = 1.5418 Å)
Structure: a DFT-relaxed cell (PBE, the Materials Project)
Neutral-atom scattering factors, no anomalous dispersion.

Main lines, sorted by position (2θ = 15–90°):
hkl	2θ (°)	I/Imax
1 1 0	19.07	31
0 2 1	21.28	28
0 2 2	27.76	46
1 1 -2	28.04	100
1 3 0	32.86	47
2 0 0	33.58	24
1 1 -3	36.44	12
2 2 2	44.11	29
1 1 4	45.97	13
3 1 -2	56.71	13

Structural model:
a = 5.3382 Å, b = 9.5091 Å, c = 8.7201 Å
α = 90.00°, β = 90.03°, γ = 90.00°
Space group Cc (No. 9)
Unique sites:
Ga1 0.0000 0.1685 0.0000 (multiplicity 4)
Ga2 0.0010 0.1747 0.6046 (multiplicity 4)
Pb1 0.0378 0.4704 0.3025 (multiplicity 4)
O1 0.3473 0.1806 0.9935 (multiplicity 4)
O2 0.3466 0.1875 0.6107 (multiplicity 4)
O3 0.3625 0.3100 0.3026 (multiplicity 4)
O4 0.3636 0.4964 0.0470 (multiplicity 4)